[1]
# Tb2U3Ru4
Computed PXRD pattern, copper Kα. Input: DFT lattice parameters and positions (GGA-PBE).

Structural model:
```
Tb2U3Ru4
1.0
-3.414 7.154 4.217
3.414 -7.154 4.217
3.414 7.154 -4.217
Tb U Ru
4 6 8
direct
0.086 0.162 0.249
0.414 0.662 0.076
0.586 0.338 0.924
0.914 0.838 0.751
0.018 0.750 0.268
0.250 0.750 0.500
0.482 0.750 0.732
0.518 0.250 0.268
0.750 0.250 0.500
0.982 0.250 0.732
0.042 0.402 0.110
0.208 0.098 0.640
0.292 0.932 0.890
0.458 0.568 0.360
0.542 0.432 0.640
0.708 0.068 0.110
0.792 0.902 0.360
0.958 0.598 0.890
```

Top 8 peaks for 2θ = 5–70°, low angle first:
Position (°2θ)  I_rel
21.07  51
25.60  64
32.83  38
33.78  37
33.98  52
36.38  100
36.79  64
42.42  60

[2]
# Ac3B2PbO8
Computed PXRD pattern, copper Kα. Input: DFT lattice parameters and positions (GGA-PBE).

Structural model:
```
Ac3B2PbO8
1.0
5.316 0.000 0.000
-2.658 4.604 0.000
0.000 0.000 8.560
Ac B Pb O
3 2 1 8
direct
0.000 0.000 0.000
0.333 0.667 0.738
0.667 0.333 0.262
0.333 0.667 0.184
0.667 0.333 0.816
0.000 0.000 0.500
0.180 0.359 0.238
0.180 0.820 0.238
0.333 0.667 0.006
0.359 0.180 0.762
0.641 0.820 0.238
0.667 0.333 0.994
0.820 0.180 0.762
0.820 0.641 0.762
```

Top 8 peaks for 2θ = 5–70°, low angle first:
Position (°2θ)  I_rel
21.92  51
28.47  100
33.72  64
37.07  15
40.58  20
44.70  35
55.09  30
57.14  28

[3]
# ErTaRe
Computed PXRD pattern, copper Kα. Input: DFT lattice parameters and positions (GGA-PBE).

Structural model:
```
ErTaRe
1.0
0.000 4.342 4.988
2.899 0.000 4.988
2.899 4.342 0.000
Er Ta Re
2 2 2
direct
0.178 0.822 0.178
0.822 0.178 0.822
0.322 0.322 0.678
0.678 0.678 0.322
0.250 0.250 0.250
0.750 0.750 0.750
```

Top 8 peaks for 2θ = 5–70°, low angle first:
Position (°2θ)  I_rel
32.71  64
35.83  71
36.01  19
37.30  25
41.61  100
41.77  29
45.57  23
64.62  20

Q: What is the formula in the second record?
A: Ac3B2PbO8